[1]
Structure and theoretical powder XRD pattern of InCu2Si (a cell relaxed with GGA-PBE; Cu Kα (weighted mean of Kα1 and Kα2)).
Peak positions follow from Bragg's law for the DFT cell and can differ from measured ones.

Principal peaks in the range 10° ≤ 2θ ≤ 80°, sorted by position:
| index | 2theta | d_spacing | I_rel |
| --- | --- | --- | --- |
| 1 0 0 | 14.1 | 6.290 | 35 |
| 1 1 1 | 24.5 | 3.631 | 69 |
| 2 1 0 | 31.8 | 2.813 | 240 |
| 2 2 0 | 40.6 | 2.224 | 1000 |
| 3 0 0 | 43.1 | 2.097 | 86 |
| 4 0 0 | 58.7 | 1.572 | 142 |
| 3 2 2 | 60.7 | 1.525 | 92 |
| 4 2 1 | 68.3 | 1.373 | 42 |
| 4 2 2 | 73.8 | 1.284 | 254 |
| 4 3 0 | 75.6 | 1.258 | 41 |

Cell and atoms:
Lattice parameters (Å, degrees): 6.290 6.290 6.290 90.00 90.00 90.00
Space group Pm-3m (No. 221)
Symmetry-distinct sites (fractional):
In: 0.000 0.000 0.000
In: 0.000 0.000 0.500
Cu: 0.277 0.277 0.277
Si: 0.000 0.500 0.500
Si: 0.500 0.500 0.500


[2]
Structure and theoretical powder XRD pattern of Tb2SmIn3Cu3 (a cell relaxed with GGA-PBE; Cu Kα (weighted mean of Kα1 and Kα2)).
Peak positions follow from Bragg's law for the DFT cell and can differ from measured ones.

Principal peaks in the range 10° ≤ 2θ ≤ 80°, sorted by position:
| index | 2theta | d_spacing | I_rel |
| --- | --- | --- | --- |
| 1 3 1 | 33.0 | 2.713 | 1000 |
| 1 2 2 | 35.8 | 2.508 | 765 |
| 0 5 1 | 36.2 | 2.482 | 544 |
| 0 6 0 | 41.2 | 2.189 | 238 |
| 1 5 1 | 43.3 | 2.092 | 123 |
| 2 0 0 | 46.8 | 1.943 | 208 |
| 0 5 3 | 50.1 | 1.821 | 142 |
| 1 2 4 | 55.7 | 1.649 | 230 |
| 2 5 1 | 60.5 | 1.530 | 238 |
| 1 7 3 | 66.6 | 1.405 | 253 |

Cell and atoms:
Lattice parameters (Å, degrees): 3.885 13.130 7.585 90.00 90.00 90.00
Space group Amm2 (No. 38)
Symmetry-distinct sites (fractional):
Tb: 0.000 0.205 0.000
Sm: 0.000 0.000 0.383
In: 0.500 0.000 0.046
In: 0.500 0.128 0.669
Cu: 0.000 0.000 0.795
Cu: 0.500 0.168 0.294


[3]
Structure and theoretical powder XRD pattern of TbYInCu2 (a cell relaxed with GGA-PBE; Cu Kα (weighted mean of Kα1 and Kα2)).
Peak positions follow from Bragg's law for the DFT cell and can differ from measured ones.

Principal peaks in the range 10° ≤ 2θ ≤ 80°, sorted by position:
| index | 2theta | d_spacing | I_rel |
| --- | --- | --- | --- |
| 0 1 3 | 28.3 | 3.150 | 303 |
| 1 1 1 | 33.1 | 2.706 | 1000 |
| 1 0 4 | 35.7 | 2.515 | 623 |
| 1 1 3 | 37.9 | 2.375 | 246 |
| 0 1 5 | 38.4 | 2.342 | 459 |
| 0 2 0 | 42.4 | 2.133 | 293 |
| 2 0 0 | 50.5 | 1.807 | 173 |
| 1 2 4 | 56.6 | 1.627 | 321 |
| 2 1 5 | 65.2 | 1.431 | 218 |
| 2 2 0 | 68.0 | 1.379 | 137 |

Cell and atoms:
Lattice parameters (Å, degrees): 3.614 4.266 14.012 90.00 90.00 90.00
Space group Amm2 (No. 38)
Symmetry-distinct sites (fractional):
Tb: 0.000 0.000 0.000
Y: 0.000 0.000 0.265
In: 0.500 0.000 0.633
Cu: 0.500 0.000 0.432
Cu: 0.500 0.000 0.834


[4]
Structure and theoretical powder XRD pattern of TbY2In3Cu3 (a cell relaxed with GGA-PBE; Cu Kα (weighted mean of Kα1 and Kα2)).
Peak positions follow from Bragg's law for the DFT cell and can differ from measured ones.

Principal peaks in the range 10° ≤ 2θ ≤ 80°, sorted by position:
| index | 2theta | d_spacing | I_rel |
| --- | --- | --- | --- |
| 1 0 2 | 33.2 | 2.699 | 1000 |
| 1 4 0 | 36.0 | 2.495 | 768 |
| 0 1 3 | 36.4 | 2.469 | 570 |
| 0 6 0 | 41.5 | 2.177 | 292 |
| 1 4 2 | 43.5 | 2.081 | 223 |
| 2 0 0 | 47.0 | 1.932 | 219 |
| 1 2 4 | 56.1 | 1.641 | 154 |
| 2 1 3 | 60.9 | 1.522 | 246 |
| 2 6 0 | 64.5 | 1.445 | 149 |
| 1 1 5 | 67.0 | 1.397 | 284 |

Cell and atoms:
Lattice parameters (Å, degrees): 3.865 13.056 7.549 90.00 90.00 90.00
Space group Amm2 (No. 38)
Symmetry-distinct sites (fractional):
Tb: 0.000 0.000 0.000
Y: 0.000 0.205 0.615
In: 0.500 0.000 0.666
In: 0.500 0.128 0.282
Cu: 0.000 0.000 0.410
Cu: 0.500 0.167 0.910